Record 1
Calculated powder diffractogram
Compound: RbIn3Hg6
Radiation: copper Kα
Structure: a PBE-relaxed structure
No peak broadening, texture or thermal motion is included.

Crystal structure
Cell: 6.4116 6.4329 8.6340 Å, 99.63 109.80 107.22°
Fractional coordinates of all 10 atoms:
Rb (0.0000, 0.0000, 0.0000)
In (0.1060, 0.2289, 0.5221)
In (0.5110, 0.3053, 0.8757)
In (0.5256, 0.9891, 0.4784)
Hg (0.3186, 0.7842, 0.7312)
Hg (0.4044, 0.6602, 0.1049)
Hg (0.5247, 0.5061, 0.4568)
Hg (0.6781, 0.2024, 0.2131)
Hg (0.9183, 0.4342, 0.7758)
Hg (0.9621, 0.7175, 0.3465)

Most intense lines, 15 to 90 degrees two-theta, most intense first:
2θ (°)	I (rel.)
30.5	100
31.7	91
30.8	43
46.9	33
36.6	33
31.6	32
42.2	30
32.3	30
36.4	27
28.6	26


Record 2
Calculated powder diffractogram
Compound: Rb12InHg6
Radiation: copper Kα
Structure: a PBE-relaxed structure
No peak broadening, texture or thermal motion is included.

Crystal structure
Cell: 11.0416 11.0416 11.0416 Å, 109.47 109.47 109.47°
Fractional coordinates of all 19 atoms:
Rb (0.1092, 0.2907, 0.8185)
Rb (0.1815, 0.4722, 0.2907)
Rb (0.1815, 0.8908, 0.7093)
Rb (0.2907, 0.1815, 0.4722)
Rb (0.2907, 0.8185, 0.1092)
Rb (0.4722, 0.2907, 0.1815)
Rb (0.5278, 0.7093, 0.8185)
Rb (0.7093, 0.1815, 0.8908)
Rb (0.7093, 0.8185, 0.5278)
Rb (0.8185, 0.1092, 0.2907)
Rb (0.8185, 0.5278, 0.7093)
Rb (0.8908, 0.7093, 0.1815)
In (0.0000, 0.0000, 0.0000)
Hg (0.1189, 0.5000, 0.6189)
Hg (0.3811, 0.8811, 0.5000)
Hg (0.5000, 0.3811, 0.8811)
Hg (0.5000, 0.6189, 0.1189)
Hg (0.6189, 0.1189, 0.5000)
Hg (0.8811, 0.5000, 0.3811)

Most intense lines, 15 to 90 degrees two-theta, most intense first:
2θ (°)	I (rel.)
26.2	100
35.9	49
29.7	23
46.1	19
42.5	19
24.2	17
62.7	16
50.6	16
56.9	14
28.0	13


Record 3
Calculated powder diffractogram
Compound: Rb2In6SnHg
Radiation: copper Kα
Structure: a PBE-relaxed structure
No peak broadening, texture or thermal motion is included.

Crystal structure
Cell: 14.3222 14.3222 14.3222 Å, 32.40 32.40 32.40°
Fractional coordinates of all 20 atoms:
Rb (0.1520, 0.1520, 0.1520)
Rb (0.2919, 0.2919, 0.2919)
Rb (0.7081, 0.7081, 0.7081)
Rb (0.8480, 0.8480, 0.8480)
In (0.1557, 0.5875, 0.5875)
In (0.1866, 0.8081, 0.8081)
In (0.1919, 0.1919, 0.8134)
In (0.1919, 0.8134, 0.1919)
In (0.4125, 0.4125, 0.8443)
In (0.4125, 0.8443, 0.4125)
In (0.5875, 0.1557, 0.5875)
In (0.5875, 0.5875, 0.1557)
In (0.8081, 0.1866, 0.8081)
In (0.8081, 0.8081, 0.1866)
In (0.8134, 0.1919, 0.1919)
In (0.8443, 0.4125, 0.4125)
Sn (0.3799, 0.3799, 0.3799)
Sn (0.6201, 0.6201, 0.6201)
Hg (0.0000, 0.0000, 0.0000)
Hg (0.5000, 0.5000, 0.5000)

Most intense lines, 15 to 90 degrees two-theta, most intense first:
2θ (°)	I (rel.)
31.3	100
25.9	92
45.4	60
22.2	59
28.0	55
38.7	49
33.4	44
31.4	41
39.6	41
41.3	41


Record 4
Calculated powder diffractogram
Compound: RbTlIn2Hg4
Radiation: copper Kα
Structure: a PBE-relaxed structure
No peak broadening, texture or thermal motion is included.

Crystal structure
Cell: 11.7897 11.7897 11.7897 Å, 24.85 24.85 24.85°
Fractional coordinates of all 8 atoms:
Rb (0.0000, 0.0000, 0.0000)
Tl (0.5000, 0.5000, 0.5000)
In (0.2377, 0.2377, 0.2377)
In (0.7623, 0.7623, 0.7623)
Hg (0.1261, 0.1261, 0.1261)
Hg (0.3967, 0.3967, 0.3967)
Hg (0.6033, 0.6033, 0.6033)
Hg (0.8739, 0.8739, 0.8739)

Most intense lines, 15 to 90 degrees two-theta, most intense first:
2θ (°)	I (rel.)
35.4	100
29.1	75
63.5	24
46.5	21
59.7	20
55.1	13
33.2	11
50.9	11
78.3	9
74.9	9


Record 5
Calculated powder diffractogram
Compound: InRe3Hg
Radiation: copper Kα
Structure: a PBE-relaxed structure
No peak broadening, texture or thermal motion is included.

Crystal structure
Cell: 4.8542 4.8542 4.8542 Å, 90.00 90.00 90.00°
Fractional coordinates of all 5 atoms:
In (0.0000, 0.0000, 0.0000)
Re (0.0000, 0.0000, 0.5000)
Re (0.0000, 0.5000, 0.0000)
Re (0.5000, 0.0000, 0.0000)
Hg (0.5000, 0.5000, 0.5000)

Most intense lines, 15 to 90 degrees two-theta, most intense first:
2θ (°)	I (rel.)
31.9	100
37.0	95
53.4	67
63.6	43
66.8	23
87.6	19
26.0	11
78.9	11
18.3	8
45.8	5


Record 6
Calculated powder diffractogram
Compound: In2HgRh
Radiation: copper Kα
Structure: a PBE-relaxed structure
No peak broadening, texture or thermal motion is included.

Crystal structure
Cell: 3.1814 3.1217 8.7413 Å, 90.00 92.42 90.00°
Fractional coordinates of all 4 atoms:
In (0.0239, 0.0000, 0.1961)
In (0.9761, 0.0000, 0.8039)
Hg (0.0000, 0.5000, 0.5000)
Rh (0.5000, 0.5000, 0.0000)

Most intense lines, 15 to 90 degrees two-theta, most intense first:
2θ (°)	I (rel.)
35.3	100
41.5	46
28.1	40
30.4	40
41.2	37
42.2	32
43.0	28
30.7	26
67.1	18
46.3	17


Record 7
Calculated powder diffractogram
Compound: In2HgRh
Radiation: copper Kα
Structure: a PBE-relaxed structure
No peak broadening, texture or thermal motion is included.

Crystal structure
Cell: 3.7632 3.7632 5.7859 Å, 90.00 90.00 90.00°
Fractional coordinates of all 4 atoms:
In (0.0000, 0.0000, 0.0000)
In (0.5000, 0.5000, 0.3025)
Hg (0.5000, 0.5000, 0.7754)
Rh (0.0000, 0.0000, 0.4857)

Most intense lines, 15 to 90 degrees two-theta, most intense first:
2θ (°)	I (rel.)
39.3	100
33.7	83
64.0	47
48.4	30
80.8	13
74.7	11
84.1	11
70.8	9
84.5	8
28.3	8


Q: What is the formula in the fourth record?
A: RbTlIn2Hg4


Copy entry 4 word for word.
Calculated powder diffractogram
Compound: RbTlIn2Hg4
Radiation: copper Kα
Structure: a PBE-relaxed structure
No peak broadening, texture or thermal motion is included.

Crystal structure
Cell: 11.7897 11.7897 11.7897 Å, 24.85 24.85 24.85°
Fractional coordinates of all 8 atoms:
Rb (0.0000, 0.0000, 0.0000)
Tl (0.5000, 0.5000, 0.5000)
In (0.2377, 0.2377, 0.2377)
In (0.7623, 0.7623, 0.7623)
Hg (0.1261, 0.1261, 0.1261)
Hg (0.3967, 0.3967, 0.3967)
Hg (0.6033, 0.6033, 0.6033)
Hg (0.8739, 0.8739, 0.8739)

Most intense lines, 15 to 90 degrees two-theta, most intense first:
2θ (°)	I (rel.)
35.4	100
29.1	75
63.5	24
46.5	21
59.7	20
55.1	13
33.2	11
50.9	11
78.3	9
74.9	9